# 1
For Zn12CdAg6, a cell relaxed with PBE gives the theoretical X-ray powder pattern in this record (CuKα).

Cell and atoms:
a = 10.8267 Å, b = 10.8267 Å, c = 9.2350 Å
α = 90.00°, β = 90.00°, γ = 120.00°
Space group R-3m (No. 166, hexagonal axes)
Unique sites:
Zn (0.0000, 0.2627, 0.0000) x18
Zn (0.0686, 0.5343, 0.1192) x18
Cd (0.0000, 0.0000, 0.0000) x3
Ag (0.0894, 0.1788, 0.7451) x18

Most intense lines, 10 to 90 degrees two-theta, sorted by position:
| 2theta | I_rel | (hkl) |
| --- | --- | --- |
| 26.9 | 26.8 | 2 1 1 |
| 39.7 | 100.0 | 4 0 1 |
| 39.8 | 43.4 | 3 1 2 |
| 40.2 | 41.6 | 1 0 4 |
| 41.2 | 78.7 | 0 3 3 |
| 43.3 | 32.5 | 0 4 2 |
| 50.6 | 13.4 | 3 3 0 |
| 61.6 | 13.5 | 3 1 5 |
| 69.5 | 11.3 | 4 4 0 |
| 73.9 | 21.1 | 4 3 4 |

=====

# 2
For Cr3W5, a cell relaxed with PBE gives the theoretical X-ray powder pattern in this record (CuKα).

Cell and atoms:
a = 6.164 Å, b = 8.722 Å, c = 8.713 Å
α = 90.00°, β = 90.00°, γ = 90.00°
Space group Amm2 (No. 38)
Unique sites:
Cr (0.000, 0.000, 0.000) x2
Cr (0.000, 0.247, 0.756) x4
Cr (0.245, 0.000, 0.756) x4
Cr (0.500, 0.000, 0.507) x2
W (0.000, 0.000, 0.513) x2
W (0.245, 0.000, 0.256) x4
W (0.245, 0.250, 0.005) x8
W (0.500, 0.000, 0.001) x2
W (0.500, 0.244, 0.754) x4

Most intense lines, 10 to 90 degrees two-theta, sorted by position:
| 2theta | I_rel | (hkl) |
| --- | --- | --- |
| 14.4 | 6.7 | 0 1 1 |
| 20.4 | 8.4 | 1 1 1 |
| 25.0 | 3.5 | 1 0 2 |
| 32.5 | 7.1 | 1 2 2 |
| 35.7 | 4.4 | 1 3 1 |
| 41.4 | 100.0 | 2 2 2 |
| 44.1 | 3.1 | 3 0 0 |
| 60.0 | 16.6 | 4 0 0 |
| 62.1 | 2.6 | 3 0 4 |
| 75.6 | 33.4 | 4 4 0 |

=====

# 3
For Li3Mn2Br8, a cell relaxed with PBE gives the theoretical X-ray powder pattern in this record (CuKα).

Cell and atoms:
a = 13.047 Å, b = 8.226 Å, c = 7.087 Å
α = 90.00°, β = 91.48°, γ = 90.00°
Space group C2/m (No. 12)
Unique sites:
Li (0.000, 0.000, 0.000) x2
Li (0.000, 0.245, 0.500) x4
Mn (0.202, 0.000, 0.334) x4
Br (0.113, 0.500, 0.667) x4
Br (0.115, 0.228, 0.179) x8
Br (0.129, 0.000, 0.651) x4

Most intense lines, 10 to 90 degrees two-theta, sorted by position:
| 2theta | I_rel | (hkl) |
| --- | --- | --- |
| 25.0 | 49.7 | 0 2 1 |
| 25.1 | 28.5 | 0 0 2 |
| 27.4 | 53.2 | 4 0 0 |
| 28.4 | 100.0 | 2 0 -2 |
| 28.7 | 79.7 | 2 2 1 |
| 29.0 | 29.5 | 2 0 2 |
| 37.7 | 32.0 | 4 2 1 |
| 44.0 | 24.2 | 0 4 0 |
| 44.2 | 47.0 | 0 2 3 |
| 48.8 | 29.4 | 6 2 -1 |

=====

# 4
For Pm8AlZn2, a cell relaxed with PBE gives the theoretical X-ray powder pattern in this record (CuKα).

Cell and atoms:
a = 5.051 Å, b = 8.483 Å, c = 14.867 Å
α = 90.00°, β = 90.00°, γ = 90.00°
Space group Immm (No. 71)
Unique sites:
Pm (0.000, 0.000, 0.137) x4
Pm (0.000, 0.224, 0.338) x8
Pm (0.000, 0.315, 0.000) x4
Al (0.000, 0.500, 0.500) x2
Zn (0.000, 0.500, 0.193) x4

Most intense lines, 10 to 90 degrees two-theta, sorted by position:
| 2theta | I_rel | (hkl) |
| --- | --- | --- |
| 25.2 | 17.0 | 1 0 3 |
| 28.1 | 10.7 | 1 2 1 |
| 31.7 | 20.9 | 1 1 4 |
| 32.2 | 13.9 | 0 3 1 |
| 33.0 | 100.0 | 1 2 3 |
| 35.5 | 27.6 | 2 0 0 |
| 36.3 | 17.6 | 0 0 6 |
| 38.4 | 9.4 | 1 3 2 |
| 51.7 | 12.8 | 2 0 6 |
| 62.2 | 15.9 | 3 2 3 |

=====

# 5
For CdIn4Ag5, a cell relaxed with PBE gives the theoretical X-ray powder pattern in this record (CuKα).

Cell and atoms:
a = 5.043 Å, b = 6.231 Å, c = 7.232 Å
α = 76.23°, β = 89.02°, γ = 85.06°
Space group P1 (No. 1)
Unique sites:
Cd (0.000, 0.000, 0.000) x1
In (0.238, 0.512, 0.208) x1
In (0.331, 0.945, 0.340) x1
In (0.679, 0.516, 0.563) x1
In (0.680, 0.973, 0.670) x1
Ag (0.170, 0.240, 0.608) x1
Ag (0.193, 0.666, 0.750) x1
Ag (0.471, 0.232, 0.949) x1
Ag (0.726, 0.607, 0.991) x1
Ag (0.795, 0.223, 0.294) x1

Most intense lines, 10 to 90 degrees two-theta, sorted by position:
| 2theta | I_rel | (hkl) |
| --- | --- | --- |
| 27.2 | 22.9 | 1 1 -1 |
| 35.7 | 75.9 | -1 2 1 |
| 37.6 | 65.5 | 1 2 2 |
| 37.8 | 100.0 | 1 -1 2 |
| 38.1 | 28.3 | 2 0 1 |
| 38.3 | 54.1 | 1 2 -1 |
| 38.4 | 23.5 | 0 0 3 |
| 38.6 | 27.8 | 2 1 1 |
| 44.3 | 23.4 | 2 0 -2 |
| 68.3 | 20.6 | 0 3 -3 |

=====

# 6
For Ge2Pd6Pt, a cell relaxed with PBE gives the theoretical X-ray powder pattern in this record (CuKα).

Cell and atoms:
a = 4.3860 Å, b = 4.3860 Å, c = 25.6714 Å
α = 90.00°, β = 90.00°, γ = 120.00°
Space group R-3m (No. 166, hexagonal axes)
Unique sites:
Ge (0.0000, 0.0000, 0.0989) x6
Pd (0.0000, 0.0000, 0.1948) x6
Pd (0.0000, 0.0000, 0.3017) x6
Pd (0.0000, 0.0000, 0.4157) x6
Pt (0.0000, 0.0000, 0.0000) x3

Most intense lines, 10 to 90 degrees two-theta, sorted by position:
| 2theta | I_rel | (hkl) |
| --- | --- | --- |
| 10.3 | 18.5 | 0 0 3 |
| 29.2 | 13.4 | 0 1 5 |
| 34.0 | 20.5 | 1 0 7 |
| 36.7 | 9.2 | 0 1 8 |
| 41.2 | 100.0 | 1 1 0 |
| 42.5 | 76.1 | 1 0 10 |
| 60.7 | 24.9 | 0 2 10 |
| 75.0 | 16.6 | 3 0 0 |
| 75.9 | 26.2 | 2 1 10 |
| 89.3 | 11.0 | 2 2 0 |

=====

# 7
For Cs2Te5, a cell relaxed with PBE gives the theoretical X-ray powder pattern in this record (CuKα).

Cell and atoms:
a = 9.691 Å, b = 12.310 Å, c = 10.339 Å
α = 90.00°, β = 90.00°, γ = 90.00°
Space group Cmcm (No. 63)
Unique sites:
Cs (0.000, 0.068, 0.250) x4
Cs (0.000, 0.293, 0.750) x4
Te (0.000, 0.387, 0.250) x4
Te (0.227, 0.391, 0.041) x16

Most intense lines, 10 to 90 degrees two-theta, sorted by position:
| 2theta | I_rel | (hkl) |
| --- | --- | --- |
| 25.2 | 100.0 | 2 0 2 |
| 29.0 | 11.3 | 0 4 0 |
| 29.7 | 11.0 | 0 2 3 |
| 34.7 | 10.2 | 0 0 4 |
| 35.1 | 7.8 | 2 2 3 |
| 37.1 | 13.2 | 4 0 0 |
| 38.8 | 15.1 | 2 4 2 |
| 44.3 | 10.1 | 3 3 3 |
| 50.2 | 13.3 | 2 2 5 |
| 55.5 | 8.8 | 2 6 3 |

=====

# 8
For Ba4Cd5Bi7, a cell relaxed with PBE gives the theoretical X-ray powder pattern in this record (CuKα).

Cell and atoms:
a = 6.782 Å, b = 6.782 Å, c = 24.112 Å
α = 90.00°, β = 90.00°, γ = 90.00°
Space group I-42m (No. 121)
Unique sites:
Ba (0.242, 0.242, 0.383) x8
Cd (0.000, 0.000, 0.000) x2
Cd (0.000, 0.000, 0.252) x4
Cd (0.000, 0.500, 0.250) x4
Bi (0.000, 0.000, 0.500) x2
Bi (0.000, 0.500, 0.000) x4
Bi (0.244, 0.244, 0.170) x8

Most intense lines, 10 to 90 degrees two-theta, sorted by position:
| 2theta | I_rel | (hkl) |
| --- | --- | --- |
| 23.7 | 31.0 | 1 1 4 |
| 27.3 | 13.0 | 2 0 2 |
| 30.2 | 100.0 | 2 0 4 |
| 37.5 | 42.7 | 2 2 0 |
| 40.0 | 17.0 | 2 0 8 |
| 41.9 | 15.1 | 1 1 10 |
| 44.9 | 11.7 | 3 1 4 |
| 54.1 | 14.8 | 4 0 0 |
| 57.5 | 11.9 | 3 1 10 |
| 63.2 | 24.1 | 4 2 4 |

=====

# 9
For Te6Mo3WSe2, a cell relaxed with PBE gives the theoretical X-ray powder pattern in this record (CuKα).

Cell and atoms:
a = 3.4957 Å, b = 3.4957 Å, c = 29.4207 Å
α = 90.00°, β = 90.00°, γ = 120.00°
Space group P3m1 (No. 156)
Unique sites:
Te (0.0000, 0.0000, 0.0000) x1
Te (0.0000, 0.0000, 0.1246) x1
Te (0.0000, 0.0000, 0.4868) x1
Te (0.0000, 0.0000, 0.6121) x1
Te (0.6667, 0.3333, 0.7427) x1
Te (0.6667, 0.3333, 0.8673) x1
Mo (0.0000, 0.0000, 0.3064) x1
Mo (0.0000, 0.0000, 0.8050) x1
Mo (0.6667, 0.3333, 0.0623) x1
W (0.6667, 0.3333, 0.5494) x1
Se (0.6667, 0.3333, 0.2514) x1
Se (0.6667, 0.3333, 0.3614) x1

Most intense lines, 10 to 90 degrees two-theta, sorted by position:
| 2theta | I_rel | (hkl) |
| --- | --- | --- |
| 12.0 | 64.9 | 0 0 4 |
| 29.5 | 44.1 | 1 0 0 |
| 32.0 | 10.9 | 0 1 4 |
| 34.8 | 100.0 | 1 0 6 |
| 42.9 | 60.9 | 1 0 10 |
| 52.3 | 35.2 | 1 1 0 |
| 64.4 | 16.4 | 0 2 6 |
| 69.9 | 14.0 | 0 2 10 |
| 75.0 | 17.4 | 1 1 16 |
| 87.6 | 14.5 | 2 1 6 |

=====

# 10
For Ce8CoOs2, a cell relaxed with PBE gives the theoretical X-ray powder pattern in this record (CuKα).

Cell and atoms:
a = 17.639 Å, b = 4.467 Å, c = 6.532 Å
α = 90.00°, β = 100.72°, γ = 90.00°
Space group C2/m (No. 12)
Unique sites:
Ce (0.001, 0.000, 0.244) x4
Ce (0.091, 0.500, 0.454) x4
Ce (0.157, 0.500, 0.981) x4
Ce (0.220, 0.000, 0.267) x4
Co (0.000, 0.500, 0.000) x2
Os (0.165, 0.000, 0.679) x4

Most intense lines, 10 to 90 degrees two-theta, sorted by position:
| 2theta | I_rel | (hkl) |
| --- | --- | --- |
| 30.2 | 40.2 | 3 1 1 |
| 31.5 | 53.3 | 4 0 -2 |
| 32.7 | 48.4 | 5 1 0 |
| 34.0 | 18.1 | 1 1 -2 |
| 35.6 | 100.0 | 1 1 2 |
| 37.6 | 38.5 | 5 1 1 |
| 40.0 | 28.5 | 5 1 -2 |
| 40.4 | 49.0 | 0 2 0 |
| 41.8 | 21.6 | 7 1 -1 |
| 52.1 | 26.1 | 4 2 -2 |

=====

# 11
For In6Hg8Bi, a cell relaxed with PBE gives the theoretical X-ray powder pattern in this record (CuKα).

Cell and atoms:
a = 6.504 Å, b = 7.438 Å, c = 10.087 Å
α = 97.81°, β = 105.91°, γ = 111.24°
Space group P-1 (No. 2)
Unique sites:
In (0.080, 0.080, 0.309) x2
In (0.149, 0.514, 0.670) x2
In (0.353, 0.711, 0.254) x2
Hg (0.028, 0.703, 0.930) x2
Hg (0.262, 0.886, 0.537) x2
Hg (0.304, 0.310, 0.897) x2
Hg (0.424, 0.100, 0.129) x2
Bi (0.500, 0.500, 0.500) x1

Most intense lines, 10 to 90 degrees two-theta, sorted by position:
| 2theta | I_rel | (hkl) |
| --- | --- | --- |
| 29.4 | 47.0 | 1 1 1 |
| 29.9 | 100.0 | -2 1 2 |
| 30.3 | 95.5 | 1 -2 2 |
| 30.7 | 38.1 | 0 2 1 |
| 36.8 | 28.8 | 2 1 -1 |
| 37.3 | 56.6 | 1 1 -4 |
| 37.4 | 27.8 | 1 0 3 |
| 39.0 | 26.6 | 0 3 -1 |
| 39.2 | 32.4 | -1 2 3 |
| 48.3 | 23.7 | 3 -3 0 |

=====

# 12
For ScH6Pd5, a cell relaxed with PBE gives the theoretical X-ray powder pattern in this record (CuKα).

Cell and atoms:
a = 5.120 Å, b = 5.125 Å, c = 5.143 Å
α = 100.38°, β = 100.26°, γ = 118.83°
Space group P-1 (No. 2)
Unique sites:
Sc (0.000, 0.000, 0.000) x1
H (0.138, 0.490, 0.249) x2
H (0.238, 0.245, 0.692) x2
H (0.483, 0.106, 0.233) x2
Pd (0.158, 0.839, 0.498) x2
Pd (0.332, 0.672, 0.001) x2
Pd (0.500, 0.500, 0.500) x1

Most intense lines, 10 to 90 degrees two-theta, sorted by position:
| 2theta | I_rel | (hkl) |
| --- | --- | --- |
| 36.8 | 52.5 | 1 1 0 |
| 37.2 | 100.0 | -2 1 1 |
| 37.4 | 49.7 | 0 0 2 |
| 42.5 | 36.0 | 1 1 -2 |
| 43.5 | 66.8 | -1 2 1 |
| 62.1 | 22.3 | 3 0 -1 |
| 62.8 | 21.5 | -2 1 3 |
| 74.2 | 12.8 | 3 0 -3 |
| 75.2 | 12.3 | 0 3 1 |
| 75.8 | 17.6 | 2 -1 3 |